Diffraction record for GdYRu2. The powder X-ray diffraction pattern is simulated, not measured: it uses a structure optimized by DFT (GGA-PBE) and λ = 1.5418 Å (Cu Kα).

Crystal structure
Cell lengths 4.842, 4.842, 4.842 Å; angles 60.00, 60.00, 60.00 degrees
Fractional coordinates of all 4 atoms:
Gd 0.000 0.000 0.000
Y 0.500 0.500 0.500
Ru 0.250 0.250 0.250
Ru 0.750 0.750 0.750

Peak list (7 most intense, 5° ≤ 2θ ≤ 70°, by angle)
2θ 22.49, intensity 46; 2θ 26.02, intensity 9; 2θ 37.14, intensity 1000; 2θ 43.85, intensity 26; 2θ 53.53, intensity 172; 2θ 58.78, intensity 11; 2θ 66.94, intensity 346